(1)
Calculated XRD peak list
Compound: Cs5Ce2Br12
Radiation: copper Kα
Structure: the GGA-PBE geometry in Alexandria
Peak positions follow from Bragg's law for the DFT cell and can differ from measured ones.

Largest 10 diffraction maxima, low angle first, 15° ≤ 2θ ≤ 90°:
2θ (°)	I/Imax
20.92	609
23.02	636
25.24	738
26.23	858
30.85	777
32.28	883
33.14	1000
33.39	724
33.94	598
34.59	717

Structure:
```
data_Cs5Ce2Br12
_chemical_formula_sum 'Cs5 Ce2 Br12'
_space_group_name_H-M_alt 'P 1'
_space_group_IT_number 1
_cell_length_a 10.226
_cell_length_b 10.226
_cell_length_c 8.943
_cell_angle_alpha 100.47
_cell_angle_beta 100.47
_cell_angle_gamma 63.85
loop_
_space_group_symop_operation_xyz
'x,y,z'
loop_
_atom_site_label
_atom_site_fract_x
_atom_site_fract_y
_atom_site_fract_z
Cs1 0.000 0.000 0.000
Cs2 0.250 0.250 0.503
Cs3 0.366 0.366 0.986
Cs4 0.634 0.634 0.014
Cs5 0.750 0.750 0.497
Ce1 0.248 0.752 0.500
Ce2 0.752 0.248 0.500
Br1 0.073 0.073 0.654
Br2 0.103 0.693 0.717
Br3 0.148 0.554 0.287
Br4 0.307 0.897 0.283
Br5 0.446 0.852 0.713
Br6 0.467 0.467 0.664
Br7 0.533 0.533 0.336
Br8 0.554 0.148 0.287
Br9 0.693 0.103 0.717
Br10 0.852 0.446 0.713
Br11 0.897 0.307 0.283
Br12 0.927 0.927 0.346
```

(2)
Calculated XRD peak list
Compound: Ag2GeF7
Radiation: copper Kα
Structure: the GGA-PBE geometry in Alexandria
Peak positions follow from Bragg's law for the DFT cell and can differ from measured ones.

Largest 10 diffraction maxima, low angle first, 15° ≤ 2θ ≤ 90°:
2θ (°)	I/Imax
15.16	178
20.17	1000
22.17	629
28.53	531
29.71	236
30.16	225
36.91	325
37.83	175
43.05	167
49.53	186

Structure:
```
data_Ag2GeF7
_chemical_formula_sum 'Ag4 Ge2 F14'
_space_group_name_H-M_alt 'P 1'
_space_group_IT_number 1
_cell_length_a 6.343
_cell_length_b 6.343
_cell_length_c 10.256
_cell_angle_alpha 110.20
_cell_angle_beta 110.20
_cell_angle_gamma 78.43
loop_
_space_group_symop_operation_xyz
'x,y,z'
loop_
_atom_site_label
_atom_site_fract_x
_atom_site_fract_y
_atom_site_fract_z
Ag1 0.141 0.736 0.908
Ag2 0.264 0.859 0.592
Ag3 0.736 0.141 0.408
Ag4 0.859 0.264 0.092
Ge1 0.227 0.773 0.250
Ge2 0.773 0.227 0.750
F1 0.003 0.119 0.895
F2 0.026 0.601 0.246
F3 0.119 0.003 0.395
F4 0.289 0.711 0.750
F5 0.314 0.561 0.103
F6 0.399 0.974 0.254
F7 0.439 0.686 0.397
F8 0.561 0.314 0.603
F9 0.601 0.026 0.746
F10 0.686 0.439 0.897
F11 0.711 0.289 0.250
F12 0.881 0.997 0.605
F13 0.974 0.399 0.754
F14 0.997 0.881 0.105
```